The following is a calculated powder XRD pattern of Na3V2P2O10F. It was derived from a GGA+U-relaxed structure, using λ = 1.5418 Å (Cu Kα).

Cell and atoms:
a = 9.1693 Å, b = 10.6125 Å, c = 9.1533 Å
α = 90.00°, β = 90.00°, γ = 90.00°
Space group Fmm2 (No. 42)
Unique sites:
Na 0.0000 0.0000 0.0000 [4 per cell]
Na 0.2210 0.0000 0.7403 [8 per cell]
V 0.0000 0.1985 0.2702 [8 per cell]
P 0.2500 0.2500 0.0115 [8 per cell]
O 0.0000 0.1440 0.7800 [8 per cell]
O 0.1525 0.1641 0.1085 [16 per cell]
O 0.1586 0.1593 0.4158 [16 per cell]
F 0.0000 0.0000 0.2554 [4 per cell]

Top 10 peaks for 2θ = 15–90°, low angle first:
- 16.03 deg, d 5.529, intensity 36.2
- 16.71 deg, d 5.306, intensity 50.5
- 27.54 deg, d 3.239, intensity 52.9
- 28.75 deg, d 3.105, intensity 25.9
- 32.38 deg, d 2.765, intensity 100.0
- 42.73 deg, d 2.116, intensity 16.3
- 44.94 deg, d 2.017, intensity 15.2
- 52.81 deg, d 1.734, intensity 21.0
- 53.52 deg, d 1.712, intensity 13.4
- 56.84 deg, d 1.620, intensity 24.7